This entry pairs a crystal structure of GdHo2Ga3NiGe2 with its simulated PXRD pattern. Radiation: λ = 1.5418 Å (Cu Kα). Structure: a DFT-relaxed cell (GGA-PBE, OQMD).

Principal peaks in the range 2θ = 10–80°, low angle first:
Position (°2θ)	I/Imax
25.52	17
33.54	100
36.78	61
39.43	35
43.61	24
44.98	19
45.29	13
59.41	15
60.23	20
64.44	13

Structure:
```
GdHo2Ga3NiGe2
1.0
4.151 0.000 0.000
0.000 6.055 3.486
0.000 -6.055 3.486
Gd Ho Ga Ni Ge
1 2 3 1 2
direct
0.000 0.000 0.000
0.000 0.201 0.600
0.000 0.600 0.201
0.500 0.371 0.371
0.500 0.599 0.829
0.500 0.829 0.599
0.000 0.598 0.598
0.500 0.268 0.932
0.500 0.932 0.268
```

***

This entry pairs a crystal structure of Tb2GdGa3NiGe2 with its simulated PXRD pattern. Radiation: λ = 1.5418 Å (Cu Kα). Structure: a DFT-relaxed cell (GGA-PBE, OQMD).

Principal peaks in the range 2θ = 10–80°, low angle first:
Position (°2θ)	I/Imax
25.39	17
33.39	100
36.61	61
39.23	36
43.44	24
44.75	20
59.14	22
59.96	20
71.36	17
75.22	14

Structure:
```
Tb2GdGa3NiGe2
1.0
4.166 0.000 0.000
0.000 6.076 3.507
0.000 -6.076 3.507
Tb Gd Ga Ni Ge
2 1 3 1 2
direct
0.000 0.200 0.800
0.000 0.800 0.200
0.000 0.599 0.599
0.500 0.200 0.428
0.500 0.428 0.200
0.500 0.971 0.971
0.000 0.200 0.200
0.500 0.533 0.866
0.500 0.866 0.533
```